The following is a computed X-ray powder pattern of Bi2Pt7Pb2Au. It was derived from a DFT-relaxed cell (GGA-PBE, Alexandria), using a wavelength of 1.5418 Å.

Top 6 peaks for 10° ≤ 2θ ≤ 90°, low angle first:
10.49 deg, I = 35; 32.31 deg, I = 47; 35.73 deg, I = 39; 38.51 deg, I = 61; 41.85 deg, I = 100; 45.67 deg, I = 89

Cell and atoms:
```
data_Bi2Pt7Pb2Au
_chemical_formula_sum 'Bi4 Pt14 Pb4 Au2'
_symmetry_space_group_name_H-M 'C 1 2/m 1'
_symmetry_Int_Tables_number 12
_symmetry_space_group_name_Hall '-C 2y'
_cell_length_a 5.618
_cell_length_b 5.618
_cell_length_c 17.095
_cell_angle_alpha 90.00
_cell_angle_beta 99.40
_cell_angle_gamma 90.00
loop_
_atom_site_label
_atom_site_type_symbol
_atom_site_fract_x
_atom_site_fract_y
_atom_site_fract_z
Bi1 Bi 0.215 0.000 0.429
Pt1 Pt 0.000 0.500 0.000
Pt2 Pt 0.190 0.250 0.876
Pt3 Pt 0.202 0.500 0.403
Pb1 Pb 0.118 0.500 0.241
Au1 Au 0.000 0.000 0.000
```


The following is a computed X-ray powder pattern of Bi4Pd15Au. It was derived from a DFT-relaxed cell (GGA-PBE, Alexandria), using a wavelength of 1.5418 Å.

Top 6 peaks for 10° ≤ 2θ ≤ 90°, low angle first:
37.91 deg, I = 100; 43.98 deg, I = 34; 44.20 deg, I = 15; 63.95 deg, I = 11; 64.12 deg, I = 20; 76.81 deg, I = 25

Cell and atoms:
```
data_Bi4Pd15Au
_chemical_formula_sum 'Bi4 Pd15 Au1'
_symmetry_space_group_name_H-M 'P 4/m m m'
_symmetry_Int_Tables_number 123
_symmetry_space_group_name_Hall '-P 4 2'
_cell_length_a 4.118
_cell_length_b 4.118
_cell_length_c 20.491
_cell_angle_alpha 90.00
_cell_angle_beta 90.00
_cell_angle_gamma 90.00
loop_
_atom_site_label
_atom_site_type_symbol
_atom_site_fract_x
_atom_site_fract_y
_atom_site_fract_z
Bi1 Bi 0.000 0.000 0.103
Bi2 Bi 0.000 0.000 0.311
Pd1 Pd 0.000 0.500 0.000
Pd2 Pd 0.000 0.500 0.202
Pd3 Pd 0.000 0.500 0.404
Pd4 Pd 0.500 0.500 0.100
Pd5 Pd 0.500 0.500 0.299
Pd6 Pd 0.500 0.500 0.500
Au1 Au 0.000 0.000 0.500
```


The following is a computed X-ray powder pattern of Bi2Pd15Au2. It was derived from a DFT-relaxed cell (GGA-PBE, Alexandria), using a wavelength of 1.5418 Å.

Top 6 peaks for 10° ≤ 2θ ≤ 90°, low angle first:
27.95 deg, I = 33; 34.05 deg, I = 67; 39.32 deg, I = 100; 39.52 deg, I = 75; 44.24 deg, I = 49; 71.69 deg, I = 34

Cell and atoms:
```
data_Bi2Pd15Au2
_chemical_formula_sum 'Bi6 Pd45 Au6'
_symmetry_space_group_name_H-M 'R -3 m'
_symmetry_Int_Tables_number 166
_symmetry_space_group_name_Hall '-R 3 2"'
_cell_length_a 9.1204
_cell_length_b 9.1204
_cell_length_c 13.9595
_cell_angle_alpha 90.00
_cell_angle_beta 90.00
_cell_angle_gamma 120.00
loop_
_atom_site_label
_atom_site_type_symbol
_atom_site_fract_x
_atom_site_fract_y
_atom_site_fract_z
Bi1 Bi 0.0000 0.0000 0.1447
Pd1 Pd 0.0000 0.3261 0.5000
Pd2 Pd 0.0000 0.5000 0.0000
Pd3 Pd 0.0044 0.5022 0.6640
Au1 Au 0.0000 0.0000 0.4011
```